1.
For Hf2CdPb3, DFT lattice parameters and positions (GGA-PBE) gives the computed XRD peak list in this record (Cu Kα X-rays).
Peak positions follow from Bragg's law for the DFT cell and can differ from measured ones.

The 10 most intense peaks (2θ = 10–80°), low angle first:
3.454 Å, I 2; 3.051 Å, I 2; 2.610 Å, I 100; 2.566 Å, I 49; 1.878 Å, I 9; 1.814 Å, I 18; 1.515 Å, I 18; 1.490 Å, I 36; 1.305 Å, I 11; 1.283 Å, I 6

Atomic structure:
Cell: 3.629 3.629 11.267 Å, 90.00 90.00 90.00°
Fractional positions:
Hf 0.000 0.000 0.000
Hf 0.500 0.500 0.495
Cd 0.000 0.000 0.345
Pb 0.000 0.000 0.658
Pb 0.500 0.500 0.174
Pb 0.500 0.500 0.845


2.
For K2NaTcH6, DFT lattice parameters and positions (GGA-PBE) gives the computed XRD peak list in this record (Cu Kα X-rays).
Peak positions follow from Bragg's law for the DFT cell and can differ from measured ones.

The 10 most intense peaks (2θ = 10–80°), low angle first:
4.673 Å, I 51; 2.866 Å, I 100; 2.853 Å, I 49; 2.435 Å, I 17; 2.036 Å, I 10; 2.017 Å, I 19; 1.657 Å, I 18; 1.650 Å, I 35; 1.433 Å, I 11; 1.276 Å, I 14

Atomic structure:
Cell: 5.733 5.733 5.733 Å, 120.31 120.31 89.47°
Fractional positions:
K 0.250 0.750 0.500
K 0.750 0.250 0.500
Na 0.000 0.000 0.000
Tc 0.500 0.500 0.000
H 0.274 0.717 0.991
H 0.280 0.280 0.000
H 0.283 0.274 0.556
H 0.717 0.726 0.444
H 0.720 0.720 0.000
H 0.726 0.283 0.009


3.
For ZnTePbO, DFT lattice parameters and positions (GGA-PBE) gives the computed XRD peak list in this record (Cu Kα X-rays).
Peak positions follow from Bragg's law for the DFT cell and can differ from measured ones.

The 10 most intense peaks (2θ = 10–80°), low angle first:
3.520 Å, I 19; 3.181 Å, I 41; 3.121 Å, I 100; 2.491 Å, I 30; 2.360 Å, I 20; 2.228 Å, I 56; 2.089 Å, I 20; 1.889 Å, I 14; 1.746 Å, I 15; 1.575 Å, I 15

Atomic structure:
Cell: 7.344 7.344 6.362 Å, 90.00 90.00 146.94°
Fractional positions:
Zn 0.043 0.957 0.500
Zn 0.957 0.043 0.000
Te 0.352 0.648 0.855
Te 0.648 0.352 0.355
Pb 0.339 0.661 0.356
Pb 0.661 0.339 0.856
O 0.066 0.934 0.809
O 0.934 0.066 0.309


4.
For Dy3Y2Lu2Cu2Te2, DFT lattice parameters and positions (GGA-PBE) gives the computed XRD peak list in this record (Cu Kα X-rays).
Peak positions follow from Bragg's law for the DFT cell and can differ from measured ones.

The 10 most intense peaks (2θ = 10–80°), low angle first:
3.658 Å, I 24; 2.991 Å, I 59; 2.928 Å, I 31; 2.704 Å, I 72; 2.650 Å, I 100; 2.620 Å, I 70; 2.361 Å, I 25; 1.980 Å, I 33; 1.783 Å, I 31; 1.598 Å, I 29

Atomic structure:
Cell: 9.265 9.265 9.265 Å, 155.32 67.80 117.98°
Fractional positions:
Dy 0.000 0.000 0.000
Dy 0.284 0.414 0.870
Dy 0.544 0.414 0.130
Y 0.616 0.261 0.356
Y 0.905 0.261 0.644
Lu 0.303 0.618 0.685
Lu 0.933 0.618 0.315
Cu 0.167 0.930 0.237
Cu 0.693 0.930 0.763
Te 0.261 0.761 0.500
Te 0.663 0.663 0.000


> Which formula does entry 2 have?

K2NaTcH6